Computed powder diffractogram
Compound: Na2HfSi2O7
Radiation: CuKα
Structure: a GGA-PBE-relaxed structure
Peak positions follow from Bragg's law for the DFT cell and can differ from measured ones.

Cell: 5.3957 6.5435 8.7421 Å, 71.64 87.06 85.65°
Sites, in units of the cell vectors:
Na: 0.2352 0.3463 0.9997
Na: 0.2596 0.1246 0.4017
Na: 0.7404 0.8754 0.5983
Na: 0.7648 0.6537 0.0003
Hf: 0.2178 0.7078 0.2274
Hf: 0.7822 0.2922 0.7726
Si: 0.2238 0.6464 0.6463
Si: 0.3197 0.9408 0.8350
Si: 0.6803 0.0592 0.1650
Si: 0.7762 0.3536 0.3537
O: 0.0271 0.4297 0.2430
O: 0.1178 0.1321 0.8400
O: 0.1560 0.7107 0.4581
O: 0.2842 0.8878 0.6615
O: 0.2926 0.7186 0.9853
O: 0.3918 0.9939 0.1782
O: 0.4682 0.4902 0.7066
O: 0.5318 0.5098 0.2934
O: 0.6082 0.0061 0.8218
O: 0.7074 0.2814 0.0147
O: 0.7158 0.1122 0.3385
O: 0.8440 0.2893 0.5419
O: 0.8822 0.8679 0.1600
O: 0.9729 0.5703 0.7570

Principal peaks in the range 10° ≤ 2θ ≤ 90°, by angle:
2θ = 14.93°, intensity 810, hkl 0 1 1
2θ = 19.41°, intensity 454, hkl 1 0 1
2θ = 19.94°, intensity 337, hkl 1 0 -1
2θ = 20.39°, intensity 366, hkl 0 1 -1
2θ = 21.18°, intensity 568, hkl 1 1 0
2θ = 21.42°, intensity 880, hkl 0 0 2
2θ = 21.75°, intensity 282, hkl 0 1 2
2θ = 22.56°, intensity 1000, hkl 1 -1 0
2θ = 31.01°, intensity 840, hkl 0 1 3
2θ = 33.30°, intensity 882, hkl 2 0 0
2θ = 33.76°, intensity 335, hkl 1 1 -2
2θ = 34.05°, intensity 333, hkl 1 -1 2